Pm2CdBO5: calculated powder diffractogram (copper Kα), based on a PBE-relaxed structure.
No peak broadening, texture or thermal motion is included.

Structural model:
```
data_Pm2CdBO5
_cell_length_a 6.7543
_cell_length_b 6.7543
_cell_length_c 5.1611
_cell_angle_alpha 90.00
_cell_angle_beta 90.00
_cell_angle_gamma 90.00
_symmetry_space_group_name_H-M 'P 4/m b m'
_symmetry_Int_Tables_number 127
_symmetry_space_group_name_Hall '-P 4 2ab'
loop_
_atom_site_label
_atom_site_type_symbol
_atom_site_fract_x
_atom_site_fract_y
_atom_site_fract_z
Pm1 Pm 0.1790 0.3210 0.0000
Cd1 Cd 0.0000 0.0000 0.5000
B1 B 0.0000 0.5000 0.5000
O1 O 0.0000 0.0000 0.0000
O2 O 0.1166 0.6166 0.2794
```

Peak list (12 most intense, 5 to 70 degrees two-theta, in order of rising 2θ)
- (0 0 1), 2θ = 17.18°, d 5.161, I 39
- (1 1 1), 2θ = 25.41°, d 3.505, I 38
- (2 1 0), 2θ = 29.57°, d 3.021, I 36
- (2 0 1), 2θ = 31.66°, d 2.826, I 100
- (2 1 1), 2θ = 34.40°, d 2.607, I 86
- (0 0 2), 2θ = 34.76°, d 2.581, I 31
- (2 2 0), 2θ = 37.67°, d 2.388, I 24
- (3 1 0), 2θ = 42.32°, d 2.136, I 39
- (2 1 2), 2θ = 46.27°, d 1.962, I 49
- (3 1 2), 2θ = 55.88°, d 1.645, I 23
- (4 1 1), 2θ = 59.17°, d 1.561, I 26
- (3 3 1), 2θ = 60.90°, d 1.521, I 24

=====

LiTe: calculated powder diffractogram (copper Kα), based on a PBE-relaxed structure.
No peak broadening, texture or thermal motion is included.

Structural model:
```
data_LiTe
_cell_length_a 3.6694
_cell_length_b 3.2110
_cell_length_c 8.1736
_cell_angle_alpha 90.00
_cell_angle_beta 90.00
_cell_angle_gamma 90.00
_symmetry_space_group_name_H-M 'A m m 2'
_symmetry_Int_Tables_number 38
_symmetry_space_group_name_Hall 'A 2 -2'
loop_
_atom_site_label
_atom_site_type_symbol
_atom_site_fract_x
_atom_site_fract_y
_atom_site_fract_z
Li1 Li 0.0000 0.0000 0.0000
Te1 Te 0.5000 0.0000 0.7138
```

Peak list (12 most intense, 5 to 70 degrees two-theta, in order of rising 2θ)
- (0 0 2), 2θ = 21.75°, d 4.087, I 100
- (1 0 0), 2θ = 24.26°, d 3.669, I 76
- (0 1 1), 2θ = 29.90°, d 2.989, I 95
- (1 0 2), 2θ = 32.80°, d 2.730, I 82
- (1 1 1), 2θ = 38.86°, d 2.317, I 97
- (0 1 3), 2θ = 43.57°, d 2.077, I 36
- (1 1 3), 2θ = 50.48°, d 1.808, I 42
- (1 0 4), 2θ = 51.17°, d 1.785, I 20
- (2 1 1), 2θ = 59.08°, d 1.564, I 27
- (1 2 2), 2θ = 67.70°, d 1.384, I 20
- (2 1 3), 2θ = 68.19°, d 1.375, I 19
- (1 1 5), 2θ = 69.41°, d 1.354, I 18